Entry 1:
This entry pairs a crystal structure of CsYC2O6 with its calculated X-ray diffraction stick pattern. Radiation: Cu Kα X-rays. Structure: a cell relaxed with GGA-PBE.
No peak broadening, texture or thermal motion is included.

Structure:
Unit cell a=6.5317 b=6.5317 c=7.4919 alpha=105.00 beta=105.00 gamma=91.57
Atoms (fractional coordinates):
Cs 0.0984 0.9016 0.7500
Cs 0.9016 0.0984 0.2500
Y 0.4059 0.5941 0.2500
Y 0.5941 0.4059 0.7500
C 0.1516 0.4093 0.7674
C 0.4093 0.1516 0.2674
C 0.5907 0.8484 0.7326
C 0.8484 0.5907 0.2326
O 0.0471 0.6012 0.2430
O 0.2252 0.2937 0.6333
O 0.2937 0.2252 0.1333
O 0.2957 0.5392 0.9127
O 0.3988 0.9529 0.2570
O 0.4608 0.7043 0.5873
O 0.5392 0.2957 0.4127
O 0.6012 0.0471 0.7430
O 0.7043 0.4608 0.0873
O 0.7063 0.7748 0.8667
O 0.7748 0.7063 0.3667
O 0.9529 0.3988 0.7570

Largest 10 diffraction maxima, by angle, 2θ from 10° to 90°:
Position (°2θ)	d [Å]	I/Imax
21.01	4.229	36.6
22.90	3.884	46.7
25.61	3.478	64.8
26.45	3.369	17.1
27.78	3.211	100.0
34.44	2.604	36.3
41.56	2.173	28.3
43.56	2.078	19.7
44.22	2.048	15.9
44.33	2.044	19.0

Entry 2:
This entry pairs a crystal structure of Hf5Sc5Ge6 with its calculated X-ray diffraction stick pattern. Radiation: Cu Kα X-rays. Structure: a cell relaxed with GGA-PBE.
No peak broadening, texture or thermal motion is included.

Structure:
Unit cell a=5.6523 b=7.9538 c=7.9538 alpha=119.80 beta=90.00 gamma=90.00
Atoms (fractional coordinates):
Hf 0.0000 0.0000 0.0000
Hf 0.0000 0.2431 0.4893
Hf 0.0000 0.4893 0.2431
Hf 0.5000 0.2436 0.9974
Hf 0.5000 0.9974 0.2436
Sc 0.2491 0.5785 0.9123
Sc 0.2491 0.9123 0.5785
Sc 0.5000 0.4918 0.4918
Sc 0.7509 0.5785 0.9123
Sc 0.7509 0.9123 0.5785
Ge 0.0000 0.2445 0.8542
Ge 0.0000 0.6337 0.6337
Ge 0.0000 0.8542 0.2445
Ge 0.5000 0.2455 0.6348
Ge 0.5000 0.6348 0.2455
Ge 0.5000 0.8547 0.8547

Largest 10 diffraction maxima, by angle, 2θ from 10° to 90°:
Position (°2θ)	d [Å]	I/Imax
12.83	6.901	25.4
22.34	3.979	22.8
27.39	3.256	18.5
31.66	2.826	40.9
34.31	2.614	28.2
34.45	2.603	16.5
38.00	2.368	100.0
38.07	2.364	41.4
39.11	2.303	65.4
60.66	1.527	42.2